Record 1
The following is a calculated XRD peak list of Pr3Hg. It was derived from the GGA-PBE geometry in the Materials Project, using a wavelength of 1.5418 Å.

Principal peaks in the range 2θ = 10–80°, in order of rising 2θ:
(hkl), d/Å, I/Imax
1 1 2, 2.876, 100
0 0 4, 2.623, 19
2 0 0, 2.432, 32
2 0 4, 1.783, 25
2 2 0, 1.719, 11
1 1 6, 1.559, 16
3 1 2, 1.476, 27
2 2 4, 1.438, 12

Atomic structure:
a = 4.8633 Å, b = 4.8633 Å, c = 10.4916 Å
α = 90.00°, β = 90.00°, γ = 90.00°
Space group I4/mmm (No. 139)
Symmetry-distinct sites (fractional):
Pr 0.0000 0.0000 0.0000
Pr 0.0000 0.5000 0.2500
Hg 0.0000 0.0000 0.5000

---

Record 2
The following is a calculated XRD peak list of HoNi2Ge2. It was derived from the GGA-PBE geometry in the Materials Project, using a wavelength of 1.5418 Å.

Principal peaks in the range 2θ = 10–80°, in order of rising 2θ:
(hkl), d/Å, I/Imax
1 1 0, 2.866, 30
1 0 3, 2.542, 99
1 1 2, 2.474, 100
2 0 0, 2.027, 66
1 0 5, 1.763, 29
2 1 3, 1.585, 46
2 1 5, 1.330, 23
3 1 2, 1.240, 21

Atomic structure:
a = 4.0538 Å, b = 4.0538 Å, c = 9.7917 Å
α = 90.00°, β = 90.00°, γ = 90.00°
Space group I4/mmm (No. 139)
Symmetry-distinct sites (fractional):
Ho 0.0000 0.0000 0.0000
Ni 0.0000 0.5000 0.2500
Ge 0.0000 0.0000 0.3720